1.
# PmAl11Pt
Simulated X-ray powder pattern, Cu Kα (weighted mean of Kα1 and Kα2). Input: the PBE geometry in Alexandria.
Peak positions follow from Bragg's law for the DFT cell and can differ from measured ones.

Main lines, most intense first (2θ = 10–90°):
| Position (°2θ) | intensity |
| --- | --- |
| 14.04 | 100 |
| 19.55 | 98 |
| 38.71 | 68 |
| 26.51 | 63 |
| 33.37 | 57 |
| 28.04 | 55 |
| 39.24 | 51 |
| 39.70 | 50 |
| 37.86 | 48 |
| 29.55 | 48 |

Atomic structure:
```
PmAl11Pt
1.0
2.621 -6.309 0.000
2.621 6.309 0.000
-2.485 0.000 6.889
Pm Al Pt
1 11 1
Direct
0.000 0.000 0.000
0.000 0.000 0.500
0.000 0.500 0.000
0.002 0.650 0.643
0.282 0.501 0.775
0.350 0.998 0.357
0.499 0.718 0.225
0.500 0.000 0.000
0.501 0.282 0.775
0.650 0.002 0.643
0.718 0.499 0.225
0.998 0.350 0.357
0.500 0.500 0.500
```

2.
# Al2S2Br
Simulated X-ray powder pattern, Cu Kα (weighted mean of Kα1 and Kα2). Input: the PBE geometry in Alexandria.
Peak positions follow from Bragg's law for the DFT cell and can differ from measured ones.

Main lines, most intense first (2θ = 10–90°):
| Position (°2θ) | intensity |
| --- | --- |
| 27.59 | 100 |
| 24.90 | 60 |
| 30.55 | 60 |
| 14.83 | 59 |
| 43.50 | 52 |
| 23.14 | 44 |
| 51.09 | 40 |
| 41.74 | 36 |
| 47.29 | 24 |
| 57.35 | 15 |

Atomic structure:
```
Al2S2Br
1.0
-3.844 3.844 4.746
3.844 -3.844 4.746
3.844 3.844 -4.746
Al S Br
4 4 2
Direct
0.300 0.000 0.300
0.700 0.000 0.700
0.750 0.550 0.800
0.750 0.950 0.200
0.513 0.241 0.728
0.513 0.784 0.272
0.534 0.763 0.772
0.991 0.763 0.228
0.113 0.113 0.000
0.863 0.363 0.500
```